(1)
For Ba2As2H4Rh, DFT lattice parameters and positions (PBE) gives the calculated XRD peak list in this record (CuKα).

Most intense lines, 2θ = 10–90°, by angle:
| hkl | 2θ (°) | I/Imax |
| --- | --- | --- |
| 2 0 0 | 27.55 | 100.0 |
| 1 1 2 | 30.46 | 52.2 |
| 2 0 2 | 36.36 | 18.5 |
| 1 0 3 | 37.93 | 21.6 |
| 2 2 0 | 39.36 | 39.2 |
| 0 0 4 | 47.53 | 25.0 |
| 3 1 2 | 50.57 | 24.4 |
| 4 2 0 | 64.35 | 18.0 |

Crystal structure
```
data_Ba2As2H4Rh
_symmetry_space_group_name_H-M 'I 4/m m m'
_symmetry_Int_Tables_number 139
_symmetry_space_group_name_Hall '-I 4 2'
_cell_length_a 6.475
_cell_length_b 6.475
_cell_length_c 7.648
_cell_angle_alpha 90.00
_cell_angle_beta 90.00
_cell_angle_gamma 90.00
loop_
_atom_site_label
_atom_site_fract_x
_atom_site_fract_y
_atom_site_fract_z
_atom_site_occupancy
Ba1 0.000 0.500 0.250 1
As1 0.000 0.000 0.161 1
H1 0.185 0.185 0.500 1
Rh1 0.000 0.000 0.500 1
```

(2)
For Ba2Sr4As3H2, DFT lattice parameters and positions (PBE) gives the calculated XRD peak list in this record (CuKα).

Most intense lines, 2θ = 10–90°, by angle:
| hkl | 2θ (°) | I/Imax |
| --- | --- | --- |
| 1 1 2 | 26.19 | 76.5 |
| 1 1 4 | 28.89 | 18.7 |
| 1 0 7 | 30.31 | 49.0 |
| 1 1 6 | 32.94 | 100.0 |
| 2 0 0 | 35.99 | 71.5 |
| 2 1 7 | 47.74 | 27.2 |
| 2 2 0 | 51.81 | 24.7 |
| 3 1 6 | 62.77 | 30.5 |

Crystal structure
```
data_Ba2Sr4As3H2
_symmetry_space_group_name_H-M 'I 4/m m m'
_symmetry_Int_Tables_number 139
_symmetry_space_group_name_Hall '-I 4 2'
_cell_length_a 4.991
_cell_length_b 4.991
_cell_length_c 25.588
_cell_angle_alpha 90.00
_cell_angle_beta 90.00
_cell_angle_gamma 90.00
loop_
_atom_site_label
_atom_site_fract_x
_atom_site_fract_y
_atom_site_fract_z
_atom_site_occupancy
Ba1 0.000 0.000 0.203 1
Sr1 0.000 0.500 0.078 1
As1 0.000 0.000 0.335 1
As2 0.000 0.000 0.500 1
H1 0.000 0.000 0.093 1
```

(3)
For BaSrAsH, DFT lattice parameters and positions (PBE) gives the calculated XRD peak list in this record (CuKα).

Most intense lines, 2θ = 10–90°, by angle:
| hkl | 2θ (°) | I/Imax |
| --- | --- | --- |
| 1 0 1 | 21.56 | 83.1 |
| 1 0 2 | 26.05 | 76.7 |
| 1 0 3 | 32.25 | 88.5 |
| 0 0 4 | 33.75 | 21.1 |
| 1 1 0 | 34.75 | 100.0 |
| 2 0 3 | 48.13 | 28.4 |
| 1 1 4 | 49.22 | 42.7 |
| 2 1 3 | 60.72 | 28.2 |

Crystal structure
```
data_BaSrAsH
_symmetry_space_group_name_H-M 'P 63 m c'
_symmetry_Int_Tables_number 186
_symmetry_space_group_name_Hall 'P 6c -2c'
_cell_length_a 5.1636
_cell_length_b 5.1636
_cell_length_c 10.6226
_cell_angle_alpha 90.00
_cell_angle_beta 90.00
_cell_angle_gamma 120.00
loop_
_atom_site_label
_atom_site_fract_x
_atom_site_fract_y
_atom_site_fract_z
_atom_site_occupancy
Ba1 0.3333 0.6667 0.0000 1
Sr1 0.0000 0.0000 0.2647 1
As1 0.3333 0.6667 0.3199 1
H1 0.0000 0.0000 0.0261 1
```

(4)
For Ba3HfAs3, DFT lattice parameters and positions (PBE) gives the calculated XRD peak list in this record (CuKα).

Most intense lines, 2θ = 10–90°, by angle:
| hkl | 2θ (°) | I/Imax |
| --- | --- | --- |
| 1 3 -2 | 25.64 | 65.7 |
| 2 1 0 | 27.64 | 92.9 |
| 1 4 -1 | 28.06 | 99.9 |
| 1 2 -3 | 28.92 | 70.1 |
| 2 2 -3 | 29.58 | 77.5 |
| 1 2 2 | 33.72 | 69.7 |
| 2 0 -4 | 34.01 | 100.0 |
| 3 3 -2 | 38.15 | 51.3 |

Crystal structure
```
data_Ba3HfAs3
_symmetry_space_group_name_H-M 'P 1 21/c 1'
_symmetry_Int_Tables_number 14
_cell_length_a 8.269
_cell_length_b 13.847
_cell_length_c 10.567
_cell_angle_alpha 90.00
_cell_angle_beta 126.63
_cell_angle_gamma 90.00
loop_
_symmetry_equiv_pos_as_xyz
'x,y,z'
'-x,-y,-z'
'-x,y+1/2,-z+1/2'
'x,-y+1/2,z+1/2'
loop_
_atom_site_label
_atom_site_fract_x
_atom_site_fract_y
_atom_site_fract_z
_atom_site_occupancy
Ba1 0.135 0.117 0.477 1
Ba2 0.161 0.097 0.900 1
Ba3 0.325 0.693 0.553 1
Hf1 0.446 0.065 0.338 1
As1 0.181 0.205 0.203 1
As2 0.326 0.609 0.859 1
As3 0.347 0.553 0.273 1
```